Computed powder diffractogram
Compound: Nd4Te3Cl
Radiation: a wavelength of 1.5418 Å
Structure: a structure optimized by DFT (GGA-PBE)
Lines closer than 0.1° are merged.

Atomic structure:
Unit cell a=4.4354 b=4.4354 c=42.5111 alpha=90.00 beta=90.00 gamma=120.00
Space group R-3m (No. 166, hexagonal axes)
Asymmetric unit:
Nd (0.0000, 0.0000, 0.1240) (multiplicity 6)
Nd (0.0000, 0.0000, 0.3674) (multiplicity 6)
Te (0.0000, 0.0000, 0.2549) (multiplicity 6)
Te (0.0000, 0.0000, 0.5000) (multiplicity 3)
Cl (0.0000, 0.0000, 0.0000) (multiplicity 3)

Most intense lines, 2θ from 5° to 70°, sorted by position:
(1 0 4), d 3.612, 24.64°, intensity 4
(0 1 5), d 3.500, 25.45°, intensity 5
(0 1 8), d 3.113, 28.68°, intensity 100
(1 0 13), d 2.490, 36.07°, intensity 8
(1 1 0), d 2.218, 40.68°, intensity 41
(1 0 16), d 2.185, 41.32°, intensity 31
(2 0 8), d 1.806, 50.53°, intensity 21
(0 2 16), d 1.556, 59.38°, intensity 11
(1 1 21), d 1.495, 62.08°, intensity 7
(1 2 8), d 1.400, 66.80°, intensity 18
(1 1 24), d 1.384, 67.70°, intensity 10
(0 1 29), d 1.370, 68.51°, intensity 4